# 1
The following is a calculated XRD peak list of Eu2Si3Au. It was derived from a structure optimized by DFT (GGA-PBE), using Cu Kα.
Peak positions follow from Bragg's law for the DFT cell and can differ from measured ones.

Cell and atoms:
Cell: 4.2249 4.2249 8.8740 Å, 90.00 90.00 120.00°
Positions (direct):
Eu: 0.0000 0.0000 0.2479
Eu: 0.0000 0.0000 0.7521
Si: 0.3333 0.6667 0.5000
Si: 0.6667 0.3333 0.0000
Si: 0.6667 0.3333 0.5000
Au: 0.3333 0.6667 0.0000

Principal peaks in the range 10 to 80 degrees two-theta, low angle first:
- hkl 1 0 0, 3.659 Å, 2θ 24.3, intensity 21
- hkl 1 0 1, 3.383 Å, 2θ 26.3, intensity 20
- hkl 1 0 2, 2.823 Å, 2θ 31.7, intensity 100
- hkl 1 0 3, 2.300 Å, 2θ 39.2, intensity 8
- hkl 0 0 4, 2.219 Å, 2θ 40.7, intensity 13
- hkl 1 1 0, 2.112 Å, 2θ 42.8, intensity 34
- hkl 2 0 2, 1.691 Å, 2θ 54.2, intensity 22
- hkl 1 1 4, 1.530 Å, 2θ 60.5, intensity 25
- hkl 1 0 6, 1.371 Å, 2θ 68.4, intensity 11
- hkl 2 1 2, 1.320 Å, 2θ 71.5, intensity 19

# 2
The following is a calculated XRD peak list of HoGa2. It was derived from a structure optimized by DFT (GGA-PBE), using Cu Kα.
Peak positions follow from Bragg's law for the DFT cell and can differ from measured ones.

Cell and atoms:
Cell: 4.2048 4.2048 4.0874 Å, 90.00 90.00 120.00°
Positions (direct):
Ho: 0.0000 0.0000 0.0000
Ga: 0.3333 0.6667 0.5000
Ga: 0.6667 0.3333 0.5000

Principal peaks in the range 10 to 80 degrees two-theta, low angle first:
- hkl 1 0 0, 3.641 Å, 2θ 24.4, intensity 15
- hkl 1 0 1, 2.719 Å, 2θ 32.9, intensity 100
- hkl 1 1 0, 2.102 Å, 2θ 43.0, intensity 41
- hkl 0 0 2, 2.044 Å, 2θ 44.3, intensity 13
- hkl 1 0 2, 1.782 Å, 2θ 51.3, intensity 4
- hkl 2 0 1, 1.663 Å, 2θ 55.2, intensity 23
- hkl 1 1 2, 1.465 Å, 2θ 63.5, intensity 25
- hkl 2 1 1, 1.304 Å, 2θ 72.5, intensity 20
- hkl 1 0 3, 1.276 Å, 2θ 74.3, intensity 9
- hkl 3 0 0, 1.214 Å, 2θ 78.9, intensity 7

# 3
The following is a calculated XRD peak list of Mg14TiCuO16. It was derived from a structure optimized by DFT (GGA-PBE), using Cu Kα.
Peak positions follow from Bragg's law for the DFT cell and can differ from measured ones.

Cell and atoms:
Cell: 8.5667 8.5667 4.2382 Å, 90.00 90.00 90.00°
Positions (direct):
Mg: 0.0000 0.2459 0.0000
Mg: 0.0000 0.5000 0.5000
Mg: 0.0000 0.7541 0.0000
Mg: 0.2430 0.2430 0.5000
Mg: 0.2430 0.7570 0.5000
Mg: 0.2448 0.5000 0.0000
Mg: 0.2459 0.0000 0.0000
Mg: 0.5000 0.0000 0.5000
Mg: 0.5000 0.2448 0.0000
Mg: 0.5000 0.7552 0.0000
Mg: 0.7541 0.0000 0.0000
Mg: 0.7552 0.5000 0.0000
Mg: 0.7570 0.2430 0.5000
Mg: 0.7570 0.7570 0.5000
Ti: 0.5000 0.5000 0.5000
Cu: 0.0000 0.0000 0.5000
O: 0.0000 0.0000 0.0000
O: 0.0000 0.2662 0.5000
O: 0.0000 0.5000 0.0000
O: 0.0000 0.7338 0.5000
O: 0.2508 0.2508 0.0000
O: 0.2508 0.7492 0.0000
O: 0.2573 0.5000 0.5000
O: 0.2662 0.0000 0.5000
O: 0.5000 0.0000 0.0000
O: 0.5000 0.2573 0.5000
O: 0.5000 0.5000 0.0000
O: 0.5000 0.7427 0.5000
O: 0.7338 0.0000 0.5000
O: 0.7427 0.5000 0.5000
O: 0.7492 0.2508 0.0000
O: 0.7492 0.7492 0.0000

Principal peaks in the range 10 to 80 degrees two-theta, low angle first:
- hkl 1 1 0, 6.058 Å, 2θ 14.6, intensity 10
- hkl 2 0 0, 4.283 Å, 2θ 20.7, intensity 6
- hkl 1 1 1, 3.473 Å, 2θ 25.7, intensity 6
- hkl 2 2 1, 2.464 Å, 2θ 36.5, intensity 27
- hkl 4 0 0, 2.142 Å, 2θ 42.2, intensity 100
- hkl 0 0 2, 2.119 Å, 2θ 42.7, intensity 49
- hkl 4 4 0, 1.514 Å, 2θ 61.2, intensity 28
- hkl 4 0 2, 1.506 Å, 2θ 61.6, intensity 55
- hkl 6 2 1, 1.290 Å, 2θ 73.4, intensity 10
- hkl 4 4 2, 1.232 Å, 2θ 77.5, intensity 25

# 4
The following is a calculated XRD peak list of ZrZn4N4. It was derived from a structure optimized by DFT (GGA-PBE), using Cu Kα.
Peak positions follow from Bragg's law for the DFT cell and can differ from measured ones.

Cell and atoms:
Cell: 5.5848 5.6503 8.3071 Å, 75.64 76.42 65.21°
Positions (direct):
Zr: 0.2330 0.4507 0.3090
Zr: 0.7670 0.5493 0.6910
Zn: 0.1998 0.8163 0.5684
Zn: 0.2321 0.9791 0.0541
Zn: 0.2678 0.4810 0.9441
Zn: 0.3325 0.1584 0.7128
Zn: 0.6675 0.8416 0.2872
Zn: 0.7322 0.5190 0.0559
Zn: 0.7679 0.0209 0.9459
Zn: 0.8002 0.1837 0.4316
N: 0.0393 0.7267 0.1032
N: 0.1033 0.2077 0.5334
N: 0.4025 0.1520 0.1510
N: 0.4155 0.4887 0.7013
N: 0.5845 0.5113 0.2987
N: 0.5975 0.8480 0.8490
N: 0.8967 0.7923 0.4666
N: 0.9607 0.2733 0.8968

Principal peaks in the range 10 to 80 degrees two-theta, low angle first:
- hkl 0 1 2, 3.421 Å, 2θ 26.0, intensity 22
- hkl 0 0 3, 2.653 Å, 2θ 33.8, intensity 23
- hkl 1 1 -2, 2.640 Å, 2θ 34.0, intensity 100
- hkl 1 2 2, 2.579 Å, 2θ 34.8, intensity 23
- hkl 0 2 1, 2.535 Å, 2θ 35.4, intensity 56
- hkl 2 0 0, 2.507 Å, 2θ 35.8, intensity 66
- hkl 1 -1 2, 2.396 Å, 2θ 37.5, intensity 59
- hkl 2 2 1, 2.366 Å, 2θ 38.0, intensity 48
- hkl -1 1 3, 2.007 Å, 2θ 45.2, intensity 26
- hkl 0 2 -3, 1.692 Å, 2θ 54.2, intensity 24

# 5
The following is a calculated XRD peak list of MoC. It was derived from a structure optimized by DFT (GGA-PBE), using Cu Kα.
Peak positions follow from Bragg's law for the DFT cell and can differ from measured ones.

Cell and atoms:
Cell: 2.9241 2.9241 2.8351 Å, 90.00 90.00 120.00°
Positions (direct):
Mo: 0.0000 0.0000 0.0000
C: 0.3333 0.6667 0.5000

Principal peaks in the range 10 to 80 degrees two-theta, low angle first:
- hkl 0 0 1, 2.835 Å, 2θ 31.6, intensity 40
- hkl 1 0 0, 2.532 Å, 2θ 35.4, intensity 100
- hkl 1 0 1, 1.889 Å, 2θ 48.2, intensity 99
- hkl 1 1 0, 1.462 Å, 2θ 63.6, intensity 22
- hkl 0 0 2, 1.418 Å, 2θ 65.9, intensity 7
- hkl 1 1 1, 1.299 Å, 2θ 72.8, intensity 22
- hkl 2 0 0, 1.266 Å, 2θ 75.0, intensity 11
- hkl 1 0 2, 1.237 Å, 2θ 77.1, intensity 20

# 6
The following is a calculated XRD peak list of Tl2S. It was derived from a structure optimized by DFT (GGA-PBE), using Cu Kα.
Peak positions follow from Bragg's law for the DFT cell and can differ from measured ones.

Cell and atoms:
Cell: 7.2942 7.2942 6.2648 Å, 90.00 90.00 120.00°
Positions (direct):
Tl: 0.0027 0.6299 0.0000
Tl: 0.2934 0.0025 0.5269
Tl: 0.3701 0.3728 0.0000
Tl: 0.6272 0.9973 0.0000
Tl: 0.7090 0.7066 0.5269
Tl: 0.9975 0.2910 0.5269
S: 0.0000 0.0000 0.1720
S: 0.3333 0.6667 0.3121
S: 0.6667 0.3333 0.3031

Principal peaks in the range 10 to 80 degrees two-theta, low angle first:
- hkl 1 1 0, 3.647 Å, 2θ 24.4, intensity 16
- hkl 2 -1 1, 3.152 Å, 2θ 28.3, intensity 100
- hkl 0 0 2, 3.132 Å, 2θ 28.5, intensity 21
- hkl 0 2 1, 2.820 Å, 2θ 31.7, intensity 10
- hkl 1 2 0, 2.388 Å, 2θ 37.7, intensity 9
- hkl 1 1 2, 2.376 Å, 2θ 37.9, intensity 20
- hkl 3 0 0, 2.106 Å, 2θ 43.0, intensity 20
- hkl 2 -1 3, 1.812 Å, 2θ 50.4, intensity 20
- hkl 2 2 1, 1.751 Å, 2θ 52.2, intensity 15
- hkl 3 0 2, 1.748 Å, 2θ 52.4, intensity 16